Entry 1:
Structure and simulated PXRD pattern of LiPr4Se5 (a cell relaxed with PBE; Cu Kα).

Peak list (10 most intense, 2θ from 15° to 90°, in order of rising 2θ)
2theta, I/Imax
17.5, 8
25.8, 11
29.9, 100
42.8, 74
50.7, 5
53.1, 26
62.2, 8
70.4, 22
70.5, 10
78.4, 24

Structural model:
Cell: 7.3164 7.3164 7.3164 Å, 99.63 99.63 131.73°
Fractional positions:
Li: 0.0000 0.0000 0.0000
Pr: 0.1754 0.5746 0.7991
Pr: 0.3763 0.1754 0.6008
Pr: 0.5746 0.7755 0.3992
Pr: 0.7755 0.3763 0.2009
Se: 0.0704 0.2634 0.3832
Se: 0.2634 0.8803 0.1931
Se: 0.4715 0.4715 0.0000
Se: 0.6872 0.0704 0.8069
Se: 0.8803 0.6872 0.6168

Entry 2:
Structure and simulated PXRD pattern of Li5PrSe4 (a cell relaxed with PBE; Cu Kα).

Peak list (10 most intense, 2θ from 15° to 90°, in order of rising 2θ)
2theta, I/Imax
24.3, 88
25.1, 67
32.5, 100
33.7, 26
35.2, 46
37.2, 20
43.2, 23
45.4, 77
50.6, 19
68.2, 18

Structural model:
Cell: 8.3129 8.3129 8.3129 Å, 150.84 125.75 62.77°
Fractional positions:
Li: 0.0000 0.0000 0.0000
Li: 0.1131 0.3206 0.7925
Li: 0.4719 0.6794 0.7925
Li: 0.5281 0.3206 0.2075
Li: 0.8869 0.6794 0.2075
Pr: 0.5000 0.0000 0.5000
Se: 0.2278 0.5000 0.7278
Se: 0.2855 0.7855 0.5000
Se: 0.7145 0.2145 0.5000
Se: 0.7722 0.5000 0.2722

Entry 3:
Structure and simulated PXRD pattern of Li4PrSi2 (a cell relaxed with PBE; Cu Kα).

Peak list (10 most intense, 2θ from 15° to 90°, in order of rising 2θ)
2theta, I/Imax
22.0, 25
22.8, 24
23.5, 33
27.7, 17
30.4, 37
31.0, 100
34.8, 33
34.9, 32
39.5, 29
45.1, 22

Structural model:
Cell: 4.0266 4.2743 8.3307 Å, 90.00 103.64 90.00°
Fractional positions:
Li: 0.1701 0.0000 0.3443
Li: 0.3262 0.5000 0.6455
Li: 0.6738 0.5000 0.3545
Li: 0.8299 0.0000 0.6557
Pr: 0.5000 0.0000 0.0000
Si: 0.0710 0.5000 0.1449
Si: 0.9290 0.5000 0.8551

Entry 4:
Structure and simulated PXRD pattern of LiPr2Zn4Si3 (a cell relaxed with PBE; Cu Kα).

Peak list (10 most intense, 2θ from 15° to 90°, in order of rising 2θ)
2theta, I/Imax
22.9, 23
30.3, 30
33.3, 81
34.8, 100
43.3, 52
48.4, 34
55.7, 37
62.9, 16
66.9, 25
74.0, 21

Structural model:
Cell: 4.1765 4.1765 10.5368 Å, 90.00 90.00 90.00°
Fractional positions:
Li: 0.0000 0.0000 0.0000
Pr: 0.0000 0.5000 0.7457
Pr: 0.5000 0.0000 0.2543
Zn: 0.0000 0.0000 0.5000
Zn: 0.0000 0.5000 0.1287
Zn: 0.5000 0.0000 0.8713
Zn: 0.5000 0.5000 0.5000
Si: 0.0000 0.5000 0.3600
Si: 0.5000 0.0000 0.6400
Si: 0.5000 0.5000 0.0000

Entry 5:
Structure and simulated PXRD pattern of LiPr2Sm (a cell relaxed with PBE; Cu Kα).

Peak list (10 most intense, 2θ from 15° to 90°, in order of rising 2θ)
2theta, I/Imax
15.4, 15
28.4, 29
28.8, 13
30.2, 39
31.2, 100
33.8, 46
35.3, 18
50.1, 26
53.7, 16
60.2, 40

Structural model:
Cell: 3.6388 3.6388 34.5060 Å, 90.00 90.00 120.00°
Fractional positions:
Li: 0.0000 0.0000 0.0000
Li: 0.3333 0.6667 0.6667
Li: 0.6667 0.3333 0.3333
Pr: 0.0000 0.0000 0.4137
Pr: 0.0000 0.0000 0.5858
Pr: 0.3333 0.6667 0.0804
Pr: 0.3333 0.6667 0.2524
Pr: 0.6667 0.3333 0.7470
Pr: 0.6667 0.3333 0.9191
Sm: 0.0000 0.0000 0.8329
Sm: 0.3333 0.6667 0.4995
Sm: 0.6667 0.3333 0.1662

Entry 6:
Structure and simulated PXRD pattern of LiPr4Sm3Te8 (a cell relaxed with PBE; Cu Kα).

Peak list (10 most intense, 2θ from 15° to 90°, in order of rising 2θ)
2theta, I/Imax
28.2, 100
40.3, 38
40.4, 38
49.8, 7
50.0, 20
58.4, 13
66.0, 17
66.2, 17
73.1, 6
73.4, 19

Structural model:
Cell: 8.9583 8.9583 8.9583 Å, 59.80 59.80 59.80°
Fractional positions:
Li: 0.0000 0.0000 0.0000
Pr: 0.0000 0.0000 0.5000
Pr: 0.0000 0.5000 0.0000
Pr: 0.5000 0.0000 0.0000
Pr: 0.5000 0.5000 0.5000
Sm: 0.0000 0.5000 0.5000
Sm: 0.5000 0.0000 0.5000
Sm: 0.5000 0.5000 0.0000
Te: 0.2413 0.2413 0.7542
Te: 0.2413 0.7542 0.2413
Te: 0.2458 0.7587 0.7587
Te: 0.2523 0.2523 0.2523
Te: 0.7477 0.7477 0.7477
Te: 0.7542 0.2413 0.2413
Te: 0.7587 0.2458 0.7587
Te: 0.7587 0.7587 0.2458

Entry 7:
Structure and simulated PXRD pattern of LiPrSmTm (a cell relaxed with PBE; Cu Kα).

Peak list (10 most intense, 2θ from 15° to 90°, in order of rising 2θ)
2theta, I/Imax
19.6, 28
22.6, 8
32.2, 100
37.9, 16
46.2, 18
50.6, 7
57.4, 39
61.2, 5
67.4, 12
76.6, 17

Structural model:
Cell: 7.8636 7.8636 7.8636 Å, 90.00 90.00 90.00°
Fractional positions:
Li: 0.0000 0.0000 0.0000
Li: 0.0000 0.5000 0.5000
Li: 0.5000 0.0000 0.5000
Li: 0.5000 0.5000 0.0000
Pr: 0.2500 0.2500 0.2500
Pr: 0.2500 0.7500 0.7500
Pr: 0.7500 0.2500 0.7500
Pr: 0.7500 0.7500 0.2500
Sm: 0.2500 0.2500 0.7500
Sm: 0.2500 0.7500 0.2500
Sm: 0.7500 0.2500 0.2500
Sm: 0.7500 0.7500 0.7500
Tm: 0.0000 0.0000 0.5000
Tm: 0.0000 0.5000 0.0000
Tm: 0.5000 0.0000 0.0000
Tm: 0.5000 0.5000 0.5000

Entry 8:
Structure and simulated PXRD pattern of LiPr4Sn15 (a cell relaxed with PBE; Cu Kα).

Peak list (10 most intense, 2θ from 15° to 90°, in order of rising 2θ)
2theta, I/Imax
32.5, 100
37.2, 17
38.0, 33
54.3, 23
54.9, 12
64.2, 14
65.3, 28
68.2, 12
81.3, 4
89.4, 12

Structural model:
Cell: 4.7313 4.7313 24.1690 Å, 90.00 90.00 90.00°
Fractional positions:
Li: 0.0000 0.0000 0.0000
Pr: 0.0000 0.0000 0.1996
Pr: 0.0000 0.0000 0.3989
Pr: 0.0000 0.0000 0.6011
Pr: 0.0000 0.0000 0.8004
Sn: 0.0000 0.5000 0.0931
Sn: 0.0000 0.5000 0.2980
Sn: 0.0000 0.5000 0.5000
Sn: 0.0000 0.5000 0.7020
Sn: 0.0000 0.5000 0.9069
Sn: 0.5000 0.0000 0.0931
Sn: 0.5000 0.0000 0.2980
Sn: 0.5000 0.0000 0.5000
Sn: 0.5000 0.0000 0.7020
Sn: 0.5000 0.0000 0.9069
Sn: 0.5000 0.5000 0.0000
Sn: 0.5000 0.5000 0.1941
Sn: 0.5000 0.5000 0.3996
Sn: 0.5000 0.5000 0.6004
Sn: 0.5000 0.5000 0.8059

Entry 9:
Structure and simulated PXRD pattern of LiPr3Sn (a cell relaxed with PBE; Cu Kα).

Peak list (10 most intense, 2θ from 15° to 90°, in order of rising 2θ)
2theta, I/Imax
28.9, 97
30.0, 100
33.4, 33
34.6, 67
37.5, 15
48.8, 40
51.1, 16
57.9, 19
59.8, 25
62.5, 11

Structural model:
Cell: 7.4729 7.4729 7.4729 Å, 88.15 119.35 122.83°
Fractional positions:
Li: 0.2502 0.2500 0.5002
Li: 0.7498 0.7500 0.4998
Pr: 0.2492 0.5252 0.7760
Pr: 0.2492 0.9733 0.2241
Pr: 0.6951 0.9997 0.1954
Pr: 0.7492 0.0252 0.7759
Pr: 0.7492 0.4733 0.2240
Pr: 0.8043 0.4997 0.8046
Sn: 0.2349 0.4995 0.2354
Sn: 0.2641 0.9995 0.7646

Entry 10:
Structure and simulated PXRD pattern of LiPr3Sn2 (a cell relaxed with PBE; Cu Kα).

Peak list (10 most intense, 2θ from 15° to 90°, in order of rising 2θ)
2theta, I/Imax
27.1, 41
28.4, 64
29.1, 56
29.4, 64
34.4, 62
34.7, 61
37.1, 69
39.0, 100
50.9, 43
57.5, 41

Structural model:
Cell: 9.7187 9.7187 9.7187 Å, 140.40 56.83 140.96°
Fractional positions:
Li: 0.2500 0.2500 0.0000
Li: 0.7500 0.7500 0.0000
Pr: 0.1793 0.2470 0.4263
Pr: 0.2500 0.7500 0.5000
Pr: 0.3207 0.7470 0.0677
Pr: 0.6793 0.2530 0.9323
Pr: 0.7500 0.2500 0.5000
Pr: 0.8207 0.7530 0.5737
Sn: 0.1297 0.7622 0.8919
Sn: 0.3703 0.2622 0.6326
Sn: 0.6297 0.7378 0.3674
Sn: 0.8703 0.2378 0.1081

Entry 11:
Structure and simulated PXRD pattern of Li2Pr5Sn7 (a cell relaxed with PBE; Cu Kα).

Peak list (10 most intense, 2θ from 15° to 90°, in order of rising 2θ)
2theta, I/Imax
29.4, 34
31.2, 56
31.5, 100
32.8, 99
32.9, 37
33.8, 52
34.4, 53
35.6, 27
44.2, 40
61.9, 32

Structural model:
Cell: 6.3222 13.8863 17.5518 Å, 90.00 90.00 90.00°
Fractional positions:
Li: 0.0863 0.2308 0.4806
Li: 0.1138 0.2320 0.7720
Li: 0.3862 0.7680 0.2720
Li: 0.4137 0.7692 0.9806
Li: 0.5863 0.2692 0.5194
Li: 0.6138 0.2680 0.2280
Li: 0.8862 0.7320 0.7280
Li: 0.9137 0.7308 0.0194
Pr: 0.1363 0.1769 0.2826
Pr: 0.1391 0.5023 0.0176
Pr: 0.1412 0.1806 0.9594
Pr: 0.1450 0.5021 0.7371
Pr: 0.1469 0.9236 0.1225
Pr: 0.3531 0.0764 0.6225
Pr: 0.3550 0.4979 0.2371
Pr: 0.3588 0.8194 0.4594
Pr: 0.3609 0.4977 0.5176
Pr: 0.3637 0.8231 0.7826
Pr: 0.6363 0.3231 0.7174
Pr: 0.6391 0.9977 0.9824
Pr: 0.6412 0.3194 0.0406
Pr: 0.6450 0.9979 0.2629
Pr: 0.6469 0.5764 0.8775
Pr: 0.8531 0.4236 0.3775
Pr: 0.8550 0.0021 0.7629
Pr: 0.8588 0.6806 0.5406
Pr: 0.8609 0.0023 0.4824
Pr: 0.8637 0.6769 0.2174
Sn: 0.0961 0.8784 0.6215
Sn: 0.1129 0.6270 0.3787
Sn: 0.1340 0.6533 0.8780
Sn: 0.1364 0.9369 0.9339
Sn: 0.1512 0.9427 0.3113
Sn: 0.1724 0.3129 0.1219
Sn: 0.2019 0.3098 0.6279
Sn: 0.2981 0.6902 0.1279
Sn: 0.3276 0.6871 0.6219
Sn: 0.3488 0.0573 0.8113
Sn: 0.3636 0.0631 0.4339
Sn: 0.3660 0.3467 0.3780
Sn: 0.3871 0.3730 0.8787
Sn: 0.4039 0.1216 0.1215
Sn: 0.5961 0.6216 0.3785
Sn: 0.6129 0.8730 0.6213
Sn: 0.6340 0.8467 0.1220
Sn: 0.6364 0.5631 0.0661
Sn: 0.6512 0.5573 0.6887
Sn: 0.6724 0.1871 0.8781
Sn: 0.7019 0.1902 0.3721
Sn: 0.7981 0.8098 0.8721
Sn: 0.8276 0.8129 0.3781
Sn: 0.8488 0.4427 0.1887
Sn: 0.8636 0.4369 0.5661
Sn: 0.8660 0.1533 0.6220
Sn: 0.8871 0.1270 0.1213
Sn: 0.9039 0.3784 0.8785

Entry 12:
Structure and simulated PXRD pattern of Li6Pr3Sn5 (a cell relaxed with PBE; Cu Kα).

Peak list (10 most intense, 2θ from 15° to 90°, in order of rising 2θ)
2theta, I/Imax
17.6, 26
27.4, 100
32.8, 21
32.9, 37
33.1, 29
33.7, 16
35.5, 17
38.9, 24
52.0, 16
63.4, 18

Structural model:
Cell: 8.8165 8.8165 8.8165 Å, 149.52 110.31 77.94°
Fractional positions:
Li: 0.0760 0.3603 0.7157
Li: 0.1830 0.0000 0.1830
Li: 0.3554 0.6397 0.7157
Li: 0.6446 0.3603 0.2843
Li: 0.8170 0.0000 0.8170
Li: 0.9240 0.6397 0.2843
Pr: 0.2037 0.2037 0.0000
Pr: 0.5000 0.5000 0.0000
Pr: 0.7963 0.7963 0.0000
Sn: 0.0000 0.5000 0.5000
Sn: 0.2020 0.8448 0.3573
Sn: 0.4875 0.8448 0.6427
Sn: 0.5125 0.1552 0.3573
Sn: 0.7980 0.1552 0.6427